Entry 1:
This entry pairs a crystal structure of Al2V7Mo3 with its simulated powder diffraction line list. Radiation: CuKα. Structure: DFT lattice parameters and positions (PBE).
Neutral-atom scattering factors, no anomalous dispersion.

Structural model:
a b c (Å): 10.676 10.676 4.093
angles (deg): 90.00 90.00 156.61
Fractional coordinates of all 12 atoms:
Al 0.148 0.852 0.000
Al 0.852 0.148 0.000
V 0.000 0.000 0.000
V 0.069 0.931 0.500
V 0.271 0.729 0.000
V 0.423 0.577 0.000
V 0.577 0.423 0.000
V 0.729 0.271 0.000
V 0.931 0.069 0.500
Mo 0.348 0.652 0.500
Mo 0.500 0.500 0.500
Mo 0.652 0.348 0.500

Principal peaks in the range 5 to 70 degrees two-theta, in order of rising 2θ:
- 8.46°, d 10.454, I = 27.2
- 20.96°, d 4.238, I = 15.0
- 24.21°, d 3.677, I = 11.4
- 33.78°, d 2.653, I = 14.8
- 37.10°, d 2.423, I = 18.1
- 41.74°, d 2.164, I = 30.6
- 42.92°, d 2.107, I = 100.0
- 44.26°, d 2.046, I = 26.1
- 54.74°, d 1.677, I = 7.0
- 62.46°, d 1.487, I = 17.1

Entry 2:
This entry pairs a crystal structure of AlVMo with its simulated powder diffraction line list. Radiation: CuKα. Structure: DFT lattice parameters and positions (PBE).
Neutral-atom scattering factors, no anomalous dispersion.

Structural model:
a b c (Å): 4.363 4.363 2.691
angles (deg): 90.00 90.00 120.00
Fractional coordinates of all 3 atoms:
Al 0.000 0.000 0.000
V 0.333 0.667 0.636
Mo 0.667 0.333 0.385

Principal peaks in the range 5 to 70 degrees two-theta, in order of rising 2θ:
- 23.55°, d 3.779, I = 55.1
- 33.29°, d 2.691, I = 13.6
- 41.18°, d 2.192, I = 100.0
- 41.39°, d 2.182, I = 95.7
- 48.17°, d 1.889, I = 7.9
- 54.12°, d 1.695, I = 19.1
- 59.81°, d 1.546, I = 31.6
- 65.34°, d 1.428, I = 6.2
- 69.91°, d 1.346, I = 0.8

Entry 3:
This entry pairs a crystal structure of AlV2Mo3 with its simulated powder diffraction line list. Radiation: CuKα. Structure: DFT lattice parameters and positions (PBE).
Neutral-atom scattering factors, no anomalous dispersion.

Structural model:
a b c (Å): 6.891 6.891 7.545
angles (deg): 122.41 122.41 37.31
Fractional coordinates of all 12 atoms:
Al 0.126 0.126 0.137
Al 0.874 0.874 0.863
V 0.212 0.212 0.556
V 0.463 0.463 0.791
V 0.537 0.537 0.209
V 0.788 0.788 0.444
Mo 0.037 0.037 0.708
Mo 0.292 0.292 0.962
Mo 0.375 0.375 0.380
Mo 0.625 0.625 0.620
Mo 0.708 0.708 0.038
Mo 0.963 0.963 0.292

Principal peaks in the range 5 to 70 degrees two-theta, in order of rising 2θ:
- 14.44°, d 6.136, I = 49.5
- 32.19°, d 2.781, I = 32.0
- 40.92°, d 2.205, I = 100.0
- 41.22°, d 2.190, I = 97.7
- 41.33°, d 2.184, I = 96.4
- 43.60°, d 2.076, I = 9.5
- 59.25°, d 1.559, I = 31.6
- 60.34°, d 1.534, I = 14.7
- 61.34°, d 1.511, I = 4.8
- 69.08°, d 1.360, I = 5.2

Entry 4:
This entry pairs a crystal structure of Al10V6Mo with its simulated powder diffraction line list. Radiation: CuKα. Structure: DFT lattice parameters and positions (PBE).
Neutral-atom scattering factors, no anomalous dispersion.

Structural model:
a b c (Å): 7.518 7.518 5.297
angles (deg): 90.00 90.00 120.00
Fractional coordinates of all 17 atoms:
Al 0.000 0.279 0.322
Al 0.000 0.721 0.678
Al 0.279 0.000 0.322
Al 0.279 0.279 0.678
Al 0.333 0.667 0.000
Al 0.333 0.667 0.500
Al 0.667 0.333 0.000
Al 0.667 0.333 0.500
Al 0.721 0.000 0.678
Al 0.721 0.721 0.322
V 0.000 0.368 0.820
V 0.000 0.632 0.180
V 0.368 0.000 0.820
V 0.368 0.368 0.180
V 0.632 0.000 0.180
V 0.632 0.632 0.820
Mo 0.000 0.000 0.000

Principal peaks in the range 5 to 70 degrees two-theta, in order of rising 2θ:
- 16.74°, d 5.297, I = 21.6
- 21.63°, d 4.109, I = 13.1
- 29.13°, d 3.065, I = 23.5
- 32.28°, d 2.773, I = 24.7
- 40.42°, d 2.232, I = 39.0
- 41.61°, d 2.170, I = 83.4
- 41.72°, d 2.165, I = 100.0
- 45.15°, d 2.008, I = 10.0
- 60.39°, d 1.533, I = 24.0
- 64.86°, d 1.438, I = 12.5

Entry 5:
This entry pairs a crystal structure of AlMo2W8 with its simulated powder diffraction line list. Radiation: CuKα. Structure: DFT lattice parameters and positions (PBE).
Neutral-atom scattering factors, no anomalous dispersion.

Structural model:
a b c (Å): 2.700 7.796 9.379
angles (deg): 72.88 84.42 90.00
Fractional coordinates of all 11 atoms:
Al 0.000 0.000 0.000
Mo 0.031 0.205 0.460
Mo 0.454 0.618 0.709
W 0.164 0.365 0.964
W 0.243 0.953 0.711
W 0.305 0.541 0.452
W 0.434 0.122 0.212
W 0.538 0.704 0.965
W 0.646 0.276 0.719
W 0.776 0.868 0.454
W 0.788 0.462 0.211

Principal peaks in the range 5 to 70 degrees two-theta, in order of rising 2θ:
- 13.04°, d 6.789, I = 14.8
- 19.96°, d 4.449, I = 16.4
- 26.19°, d 3.402, I = 15.1
- 39.23°, d 2.296, I = 13.7
- 39.84°, d 2.263, I = 53.1
- 40.49°, d 2.228, I = 100.0
- 40.66°, d 2.219, I = 73.5
- 40.84°, d 2.210, I = 47.2
- 58.37°, d 1.581, I = 24.4
- 59.08°, d 1.564, I = 12.8

Entry 6:
This entry pairs a crystal structure of YAl2Mo2 with its simulated powder diffraction line list. Radiation: CuKα. Structure: DFT lattice parameters and positions (PBE).
Neutral-atom scattering factors, no anomalous dispersion.

Structural model:
a b c (Å): 7.254 7.254 3.394
angles (deg): 90.00 90.00 90.00
Fractional coordinates of all 10 atoms:
Y 0.000 0.000 0.000
Y 0.500 0.500 0.000
Al 0.123 0.377 0.000
Al 0.377 0.877 0.000
Al 0.623 0.123 0.000
Al 0.877 0.623 0.000
Mo 0.169 0.669 0.500
Mo 0.331 0.169 0.500
Mo 0.669 0.831 0.500
Mo 0.831 0.331 0.500

Principal peaks in the range 5 to 70 degrees two-theta, in order of rising 2θ:
- 27.50°, d 3.244, I = 42.6
- 31.61°, d 2.830, I = 30.4
- 34.99°, d 2.565, I = 20.4
- 36.25°, d 2.478, I = 66.8
- 38.39°, d 2.345, I = 100.0
- 39.28°, d 2.294, I = 62.7
- 54.04°, d 1.697, I = 15.5
- 59.15°, d 1.562, I = 18.5
- 60.65°, d 1.527, I = 25.4
- 68.82°, d 1.364, I = 22.9